For Zn4OsAu, a DFT-relaxed cell (GGA-PBE, Alexandria) gives the theoretical powder XRD pattern in this record (Cu Kα, 1.54184 Å).
Kinematic intensities with the Lorentz-polarization factor, no thermal factor.

Principal peaks in the range 10° ≤ 2θ ≤ 90°, in order of rising 2θ:
21.88°, intensity 171; 36.11°, intensity 680; 42.63°, intensity 1000; 44.62°, intensity 137; 57.07°, intensity 45; 64.94°, intensity 252; 69.42°, intensity 309; 76.62°, intensity 226; 80.83°, intensity 38; 87.75°, intensity 117

Cell: 4.9743 4.9743 4.9743 Å, 60.00 60.00 60.00°
Fractional coordinates of all 6 atoms:
Zn 0.1244 0.1244 0.1244
Zn 0.1244 0.1244 0.6267
Zn 0.1244 0.6267 0.1244
Zn 0.6267 0.1244 0.1244
Os 0.7500 0.7500 0.7500
Au 0.5000 0.5000 0.5000


For LiPu5S6, a DFT-relaxed cell (GGA-PBE, Alexandria) gives the theoretical powder XRD pattern in this record (Cu Kα, 1.54184 Å).
Kinematic intensities with the Lorentz-polarization factor, no thermal factor.

Principal peaks in the range 10° ≤ 2θ ≤ 90°, in order of rising 2θ:
15.69°, intensity 98; 27.73°, intensity 953; 32.12°, intensity 1000; 46.07°, intensity 739; 54.63°, intensity 444; 57.25°, intensity 195; 74.21°, intensity 119; 76.38°, intensity 171; 76.49°, intensity 170; 85.32°, intensity 110

Cell: 6.8220 6.8220 6.8353 Å, 99.63 99.63 119.99°
Fractional coordinates of all 12 atoms:
Li 0.0000 0.0000 0.0000
Pu 0.1661 0.8339 0.5000
Pu 0.3334 0.6666 0.0000
Pu 0.5000 0.5000 0.5000
Pu 0.6666 0.3334 0.0000
Pu 0.8339 0.1661 0.5000
S 0.0830 0.4133 0.2455
S 0.2495 0.2495 0.7515
S 0.4133 0.0830 0.2455
S 0.5867 0.9170 0.7545
S 0.7505 0.7505 0.2485
S 0.9170 0.5867 0.7545


For PrNd4Sm5, a DFT-relaxed cell (GGA-PBE, Alexandria) gives the theoretical powder XRD pattern in this record (Cu Kα, 1.54184 Å).
Kinematic intensities with the Lorentz-polarization factor, no thermal factor.

Principal peaks in the range 10° ≤ 2θ ≤ 90°, in order of rising 2θ:
27.78°, intensity 209; 29.01°, intensity 1000; 30.19°, intensity 429; 31.30°, intensity 295; 35.23°, intensity 310; 50.68°, intensity 156; 52.40°, intensity 241; 57.82°, intensity 122; 59.46°, intensity 176; 67.91°, intensity 109

Cell: 10.8075 10.8075 5.9257 Å, 90.00 90.00 90.00°
Fractional coordinates of all 20 atoms:
Pr 0.2500 0.2500 0.1316
Pr 0.7500 0.7500 0.8684
Nd 0.0459 0.7500 0.8652
Nd 0.2500 0.5459 0.1348
Nd 0.2500 0.9541 0.1348
Nd 0.4541 0.7500 0.8652
Nd 0.5459 0.2500 0.1348
Nd 0.7500 0.0459 0.8652
Nd 0.7500 0.4541 0.8652
Nd 0.9541 0.2500 0.1348
Sm 0.0862 0.0862 0.6705
Sm 0.0862 0.4138 0.6705
Sm 0.2500 0.7500 0.5000
Sm 0.4138 0.0862 0.6705
Sm 0.4138 0.4138 0.6705
Sm 0.5862 0.5862 0.3295
Sm 0.5862 0.9138 0.3295
Sm 0.7500 0.2500 0.5000
Sm 0.9138 0.5862 0.3295
Sm 0.9138 0.9138 0.3295


For ScTl3Rh, a DFT-relaxed cell (GGA-PBE, Alexandria) gives the theoretical powder XRD pattern in this record (Cu Kα, 1.54184 Å).
Kinematic intensities with the Lorentz-polarization factor, no thermal factor.

Principal peaks in the range 10° ≤ 2θ ≤ 90°, in order of rising 2θ:
17.07°, intensity 667; 29.79°, intensity 1000; 34.53°, intensity 994; 38.76°, intensity 353; 49.63°, intensity 718; 52.87°, intensity 184; 58.96°, intensity 449; 61.86°, intensity 248; 80.60°, intensity 186; 83.15°, intensity 327

Cell: 5.1954 5.1954 5.1954 Å, 90.00 90.00 90.00°
Fractional coordinates of all 5 atoms:
Sc 0.0000 0.0000 0.0000
Tl 0.0000 0.5000 0.5000
Tl 0.5000 0.0000 0.5000
Tl 0.5000 0.5000 0.0000
Rh 0.5000 0.5000 0.5000


For GaAgBr4, a DFT-relaxed cell (GGA-PBE, Alexandria) gives the theoretical powder XRD pattern in this record (Cu Kα, 1.54184 Å).
Kinematic intensities with the Lorentz-polarization factor, no thermal factor.

Principal peaks in the range 10° ≤ 2θ ≤ 90°, in order of rising 2θ:
12.90°, intensity 504; 15.14°, intensity 584; 15.80°, intensity 359; 24.26°, intensity 1000; 30.21°, intensity 176; 33.28°, intensity 220; 37.07°, intensity 322; 37.94°, intensity 177; 41.60°, intensity 534; 44.79°, intensity 168

Cell: 6.8533 6.8664 11.2174 Å, 90.00 90.00 90.00°
Fractional coordinates of all 12 atoms:
Ga 0.0000 0.0000 0.0000
Ga 0.5000 0.0000 0.5000
Ag 0.0000 0.0000 0.5000
Ag 0.0000 0.5000 0.0000
Br 0.1980 0.2095 0.8824
Br 0.1980 0.7905 0.1176
Br 0.2916 0.2002 0.3832
Br 0.2916 0.7998 0.6168
Br 0.7084 0.2002 0.6168
Br 0.7084 0.7998 0.3832
Br 0.8020 0.2095 0.1176
Br 0.8020 0.7905 0.8824


For Mg, a DFT-relaxed cell (GGA-PBE, Alexandria) gives the theoretical powder XRD pattern in this record (Cu Kα, 1.54184 Å).
Kinematic intensities with the Lorentz-polarization factor, no thermal factor.

Principal peaks in the range 10° ≤ 2θ ≤ 90°, in order of rising 2θ:
29.05°, intensity 488; 33.41°, intensity 1000; 44.85°, intensity 854; 59.72°, intensity 175; 60.22°, intensity 57; 67.76°, intensity 233; 70.18°, intensity 104; 70.64°, intensity 204; 77.69°, intensity 152; 89.95°, intensity 101

Cell: 3.0969 3.0969 3.0735 Å, 90.00 90.00 120.00°
Fractional coordinates of all 1 atoms:
Mg 0.0000 0.0000 0.0000


For Li3CaAu, a DFT-relaxed cell (GGA-PBE, Alexandria) gives the theoretical powder XRD pattern in this record (Cu Kα, 1.54184 Å).
Kinematic intensities with the Lorentz-polarization factor, no thermal factor.

Principal peaks in the range 10° ≤ 2θ ≤ 90°, in order of rising 2θ:
18.22°, intensity 1000; 20.72°, intensity 543; 21.09°, intensity 930; 21.60°, intensity 343; 25.08°, intensity 450; 25.22°, intensity 444; 30.62°, intensity 259; 32.80°, intensity 284; 34.81°, intensity 246; 36.52°, intensity 437

Cell: 4.8378 5.2432 5.2910 Å, 110.20 90.32 117.30°
Fractional coordinates of all 5 atoms:
Li 0.0000 0.0000 0.0000
Li 0.1818 0.3639 0.6508
Li 0.6769 0.3551 0.9811
Ca 0.4148 0.8300 0.3619
Au 0.7618 0.5243 0.5190


For GaAsH, a DFT-relaxed cell (GGA-PBE, Alexandria) gives the theoretical powder XRD pattern in this record (Cu Kα, 1.54184 Å).
Kinematic intensities with the Lorentz-polarization factor, no thermal factor.

Principal peaks in the range 10° ≤ 2θ ≤ 90°, in order of rising 2θ:
13.82°, intensity 620; 20.52°, intensity 494; 27.85°, intensity 287; 30.45°, intensity 285; 31.83°, intensity 192; 35.39°, intensity 1000; 48.65°, intensity 245; 49.17°, intensity 314; 50.10°, intensity 307; 76.09°, intensity 196

Cell: 6.5660 6.5660 5.8712 Å, 90.00 90.00 154.64°
Fractional coordinates of all 6 atoms:
Ga 0.1796 0.8204 0.5000
Ga 0.8204 0.1796 0.0000
As 0.3628 0.6372 0.3644
As 0.6372 0.3628 0.8644
H 0.0833 0.9167 0.3345
H 0.9167 0.0833 0.8345


For Cd5Ru, a DFT-relaxed cell (GGA-PBE, Alexandria) gives the theoretical powder XRD pattern in this record (Cu Kα, 1.54184 Å).
Kinematic intensities with the Lorentz-polarization factor, no thermal factor.

Principal peaks in the range 10° ≤ 2θ ≤ 90°, in order of rising 2θ:
34.10°, intensity 191; 34.41°, intensity 152; 35.71°, intensity 365; 38.64°, intensity 1000; 38.83°, intensity 197; 39.01°, intensity 206; 50.28°, intensity 101; 61.44°, intensity 149; 66.04°, intensity 105; 72.59°, intensity 90

Cell: 5.8536 5.8536 7.2630 Å, 106.08 106.08 30.15°
Fractional coordinates of all 6 atoms:
Cd 0.0000 0.0000 0.0000
Cd 0.0413 0.0413 0.6195
Cd 0.3102 0.3102 0.6971
Cd 0.3751 0.3751 0.2589
Cd 0.6638 0.6638 0.3360
Ru 0.7101 0.7101 0.9555


For Sr4LiRu3O12, a DFT-relaxed cell (GGA-PBE, Alexandria) gives the theoretical powder XRD pattern in this record (Cu Kα, 1.54184 Å).
Kinematic intensities with the Lorentz-polarization factor, no thermal factor.

Principal peaks in the range 10° ≤ 2θ ≤ 90°, in order of rising 2θ:
31.68°, intensity 942; 31.85°, intensity 1000; 31.95°, intensity 506; 32.10°, intensity 497; 45.37°, intensity 320; 45.75°, intensity 328; 45.89°, intensity 329; 56.51°, intensity 299; 56.66°, intensity 217; 56.81°, intensity 282

Cell: 5.5777 5.6262 7.9958 Å, 90.02 90.59 90.17°
Fractional coordinates of all 20 atoms:
Sr 0.0145 0.4976 0.2327
Sr 0.4812 0.0050 0.7671
Sr 0.5188 0.9950 0.2329
Sr 0.9855 0.5024 0.7673
Li 0.0000 0.0000 0.0000
Ru 0.0000 0.0000 0.5000
Ru 0.5000 0.5000 0.0000
Ru 0.5000 0.5000 0.5000
O 0.0049 0.9519 0.7355
O 0.2094 0.2958 0.5325
O 0.2482 0.2693 0.9747
O 0.2671 0.7486 0.0212
O 0.2956 0.7906 0.4695
O 0.4894 0.4380 0.2537
O 0.5106 0.5620 0.7463
O 0.7044 0.2094 0.5305
O 0.7329 0.2514 0.9788
O 0.7518 0.7307 0.0253
O 0.7906 0.7042 0.4675
O 0.9951 0.0481 0.2645


For HoTaMn4, a DFT-relaxed cell (GGA-PBE, Alexandria) gives the theoretical powder XRD pattern in this record (Cu Kα, 1.54184 Å).
Kinematic intensities with the Lorentz-polarization factor, no thermal factor.

Principal peaks in the range 10° ≤ 2θ ≤ 90°, in order of rising 2θ:
21.95°, intensity 240; 36.23°, intensity 744; 42.76°, intensity 1000; 44.76°, intensity 114; 57.25°, intensity 64; 65.16°, intensity 272; 69.66°, intensity 302; 76.89°, intensity 214; 81.12°, intensity 52; 88.08°, intensity 125

Cell: 4.9595 4.9595 4.9595 Å, 60.00 60.00 60.00°
Fractional coordinates of all 6 atoms:
Ho 0.0000 0.0000 0.0000
Ta 0.7500 0.7500 0.7500
Mn 0.3757 0.3757 0.3757
Mn 0.3757 0.3757 0.8730
Mn 0.3757 0.8730 0.3757
Mn 0.8730 0.3757 0.3757


For La2Ni3Ge, a DFT-relaxed cell (GGA-PBE, Alexandria) gives the theoretical powder XRD pattern in this record (Cu Kα, 1.54184 Å).
Kinematic intensities with the Lorentz-polarization factor, no thermal factor.

Principal peaks in the range 10° ≤ 2θ ≤ 90°, in order of rising 2θ:
28.47°, intensity 211; 28.66°, intensity 128; 33.24°, intensity 1000; 38.01°, intensity 226; 38.15°, intensity 304; 43.82°, intensity 204; 44.34°, intensity 197; 49.37°, intensity 142; 59.48°, intensity 161; 64.11°, intensity 127

Cell: 7.7840 7.7840 7.7840 Å, 149.57 149.22 43.83°
Fractional coordinates of all 6 atoms:
La 0.0000 0.0000 0.0000
La 0.7410 0.2410 0.5000
Ni 0.1597 0.6597 0.5000
Ni 0.3257 0.8257 0.5000
Ni 0.5753 0.5753 0.0000
Ge 0.4079 0.4079 0.0000


For La7SmDy4, a DFT-relaxed cell (GGA-PBE, Alexandria) gives the theoretical powder XRD pattern in this record (Cu Kα, 1.54184 Å).
Kinematic intensities with the Lorentz-polarization factor, no thermal factor.

Principal peaks in the range 10° ≤ 2θ ≤ 90°, in order of rising 2θ:
28.02°, intensity 240; 30.32°, intensity 501; 30.98°, intensity 1000; 32.56°, intensity 300; 32.67°, intensity 586; 49.16°, intensity 262; 49.35°, intensity 129; 53.21°, intensity 215; 56.38°, intensity 126; 58.86°, intensity 305

Cell: 6.4273 7.3859 9.0959 Å, 90.04 103.55 90.04°
Fractional coordinates of all 12 atoms:
La 0.0000 0.0000 0.0000
La 0.2217 0.4995 0.6664
La 0.2806 0.7511 0.3349
La 0.4992 0.7533 0.9966
La 0.5008 0.2467 0.0034
La 0.7194 0.2489 0.6651
La 0.7783 0.5005 0.3336
Sm 0.0000 0.5000 0.0000
Dy 0.2195 0.9995 0.6643
Dy 0.2760 0.2451 0.3320
Dy 0.7240 0.7549 0.6680
Dy 0.7805 0.0005 0.3357


For Rb2Pu2PaSe6, a DFT-relaxed cell (GGA-PBE, Alexandria) gives the theoretical powder XRD pattern in this record (Cu Kα, 1.54184 Å).
Kinematic intensities with the Lorentz-polarization factor, no thermal factor.

Principal peaks in the range 10° ≤ 2θ ≤ 90°, in order of rising 2θ:
10.86°, intensity 1000; 24.54°, intensity 143; 25.31°, intensity 148; 28.23°, intensity 397; 28.40°, intensity 787; 35.53°, intensity 203; 38.31°, intensity 410; 42.57°, intensity 285; 42.72°, intensity 141; 51.97°, intensity 219

Cell: 7.3404 7.3404 8.5224 Å, 98.45 98.45 119.77°
Fractional coordinates of all 11 atoms:
Rb 0.1693 0.8307 0.0000
Rb 0.8307 0.1693 0.0000
Pu 0.3337 0.6663 0.5000
Pu 0.6663 0.3337 0.5000
Pa 0.0000 0.0000 0.5000
Se 0.0646 0.3877 0.6912
Se 0.2566 0.2566 0.3090
Se 0.3877 0.0646 0.6912
Se 0.6123 0.9354 0.3088
Se 0.7434 0.7434 0.6910
Se 0.9354 0.6123 0.3088